[1]
Calculated powder XRD pattern
Compound: AgPt
Radiation: CuKα
Structure: DFT lattice parameters and positions (GGA-PBE)
No peak broadening, texture or thermal motion is included.

Structural model:
```
data_AgPt
_symmetry_space_group_name_H-M 'C m m m'
_symmetry_Int_Tables_number 65
_symmetry_space_group_name_Hall '-C 2 2'
_cell_length_a 5.703
_cell_length_b 11.480
_cell_length_c 4.041
_cell_angle_alpha 90.00
_cell_angle_beta 90.00
_cell_angle_gamma 90.00
loop_
_atom_site_label
_atom_site_type_symbol
_atom_site_fract_x
_atom_site_fract_y
_atom_site_fract_z
Ag1 Ag 0.000 0.125 0.000
Ag2 Ag 0.246 0.500 0.500
Pt1 Pt 0.000 0.371 0.000
Pt2 Pt 0.250 0.250 0.500
```

Peak list (6 most intense, 2θ from 5° to 70°, low angle first)
38.5°, I = 100, (0 4 1); 38.6°, I = 99, (2 0 1); 44.8°, I = 97, (0 0 2); 65.0°, I = 10, (0 8 0); 65.3°, I = 42, (2 4 2); 65.5°, I = 10, (4 0 0)

---

[2]
Calculated powder XRD pattern
Compound: AgPt
Radiation: CuKα
Structure: DFT lattice parameters and positions (GGA-PBE)
No peak broadening, texture or thermal motion is included.

Structural model:
```
data_AgPt
_symmetry_space_group_name_H-M 'P 1 21/m 1'
_symmetry_Int_Tables_number 11
_symmetry_space_group_name_Hall '-P 2yb'
_cell_length_a 2.795
_cell_length_b 4.140
_cell_length_c 5.749
_cell_angle_alpha 90.00
_cell_angle_beta 90.83
_cell_angle_gamma 90.00
loop_
_atom_site_label
_atom_site_type_symbol
_atom_site_fract_x
_atom_site_fract_y
_atom_site_fract_z
Ag1 Ag 0.248 0.250 0.377
Pt1 Pt 0.251 0.250 0.888
```

Peak list (6 most intense, 2θ from 5° to 70°, low angle first)
38.1°, I = 100, (0 1 2); 38.9°, I = 96, (1 1 0); 43.7°, I = 34, (0 2 0); 44.9°, I = 31, (1 0 -2); 45.6°, I = 30, (1 0 2); 64.5°, I = 21, (1 2 -2)

---

[3]
Calculated powder XRD pattern
Compound: PuAg2Pt6
Radiation: CuKα
Structure: DFT lattice parameters and positions (GGA-PBE)
No peak broadening, texture or thermal motion is included.

Structural model:
```
data_PuAg2Pt6
_symmetry_space_group_name_H-M 'F m -3 m'
_symmetry_Int_Tables_number 225
_symmetry_space_group_name_Hall '-F 4 2 3'
_cell_length_a 8.915
_cell_length_b 8.915
_cell_length_c 8.915
_cell_angle_alpha 90.00
_cell_angle_beta 90.00
_cell_angle_gamma 90.00
loop_
_atom_site_label
_atom_site_type_symbol
_atom_site_fract_x
_atom_site_fract_y
_atom_site_fract_z
Pu1 Pu 0.000 0.000 0.000
Ag1 Ag 0.250 0.250 0.250
Pt1 Pt 0.000 0.000 0.284
```

Peak list (6 most intense, 2θ from 5° to 70°, low angle first)
19.9°, I = 49, (2 0 0); 34.9°, I = 99, (2 2 2); 40.5°, I = 100, (4 0 0); 44.3°, I = 54, (3 3 1); 53.4°, I = 30, (3 3 3); 58.6°, I = 56, (4 4 0)

---

[4]
Calculated powder XRD pattern
Compound: PuAgPt
Radiation: CuKα
Structure: DFT lattice parameters and positions (GGA-PBE)
No peak broadening, texture or thermal motion is included.

Structural model:
```
data_PuAgPt
_symmetry_space_group_name_H-M 'C m c m'
_symmetry_Int_Tables_number 63
_symmetry_space_group_name_Hall '-C 2c 2'
_cell_length_a 4.600
_cell_length_b 9.773
_cell_length_c 5.640
_cell_angle_alpha 90.00
_cell_angle_beta 90.00
_cell_angle_gamma 90.00
loop_
_atom_site_label
_atom_site_type_symbol
_atom_site_fract_x
_atom_site_fract_y
_atom_site_fract_z
Pu1 Pu 0.000 0.190 0.250
Ag1 Ag 0.000 0.500 0.000
Pt1 Pt 0.000 0.120 0.750
```

Peak list (6 most intense, 2θ from 5° to 70°, low angle first)
31.7°, I = 29, (0 0 2); 33.7°, I = 100, (1 3 0); 36.8°, I = 30, (0 2 2); 37.4°, I = 48, (1 3 1); 38.6°, I = 80, (1 1 2); 39.2°, I = 49, (2 0 0)

---

[5]
Calculated powder XRD pattern
Compound: Pu4AgPt4
Radiation: CuKα
Structure: DFT lattice parameters and positions (GGA-PBE)
No peak broadening, texture or thermal motion is included.

Structural model:
```
data_Pu4AgPt4
_symmetry_space_group_name_H-M 'P 42/n'
_symmetry_Int_Tables_number 86
_cell_length_a 8.615
_cell_length_b 8.615
_cell_length_c 5.746
_cell_angle_alpha 90.00
_cell_angle_beta 90.00
_cell_angle_gamma 90.00
loop_
_symmetry_equiv_pos_as_xyz
'x,y,z'
'-x,-y,-z'
'-y,x+1/2,z+1/2'
'y,-x+1/2,-z+1/2'
'-x+1/2,-y+1/2,z'
'x+1/2,y+1/2,-z'
'y+1/2,-x,z+1/2'
'-y+1/2,x,-z+1/2'
loop_
_atom_site_label
_atom_site_type_symbol
_atom_site_fract_x
_atom_site_fract_y
_atom_site_fract_z
Pu1 Pu 0.041 0.666 0.105
Ag1 Ag 0.250 0.250 0.250
Pt1 Pt 0.028 0.645 0.600
```

Peak list (6 most intense, 2θ from 5° to 70°, low angle first)
32.9°, I = 100, (1 3 0); 39.1°, I = 30, (1 2 2); 47.2°, I = 22, (4 2 0); 49.6°, I = 23, (2 3 2); 54.3°, I = 19, (4 1 2); 66.9°, I = 12, (2 5 2)

---

[6]
Calculated powder XRD pattern
Compound: Pu8AgPt5
Radiation: CuKα
Structure: DFT lattice parameters and positions (GGA-PBE)
No peak broadening, texture or thermal motion is included.

Structural model:
```
data_Pu8AgPt5
_symmetry_space_group_name_H-M 'I -4'
_symmetry_Int_Tables_number 82
_symmetry_space_group_name_Hall 'I -4'
_cell_length_a 8.770
_cell_length_b 8.770
_cell_length_c 8.737
_cell_angle_alpha 90.00
_cell_angle_beta 90.00
_cell_angle_gamma 90.00
loop_
_atom_site_label
_atom_site_type_symbol
_atom_site_fract_x
_atom_site_fract_y
_atom_site_fract_z
Pu1 Pu 0.073 0.167 0.195
Pu2 Pu 0.075 0.317 0.561
Ag1 Ag 0.000 0.500 0.250
Pt1 Pt 0.000 0.000 0.500
Pt2 Pt 0.130 0.252 0.880
```

Peak list (6 most intense, 2θ from 5° to 70°, low angle first)
32.3°, I = 96, (1 3 0); 32.4°, I = 47, (1 0 3); 38.5°, I = 100, (1 2 3); 51.1°, I = 17, (4 2 2); 53.3°, I = 21, (4 3 1); 65.7°, I = 25, (1 6 1)

---

[7]
Calculated powder XRD pattern
Compound: ReAg3Pt
Radiation: CuKα
Structure: DFT lattice parameters and positions (GGA-PBE)
No peak broadening, texture or thermal motion is included.

Structural model:
```
data_ReAg3Pt
_symmetry_space_group_name_H-M 'P m -3 m'
_symmetry_Int_Tables_number 221
_symmetry_space_group_name_Hall '-P 4 2 3'
_cell_length_a 5.045
_cell_length_b 5.045
_cell_length_c 5.045
_cell_angle_alpha 90.00
_cell_angle_beta 90.00
_cell_angle_gamma 90.00
loop_
_atom_site_label
_atom_site_type_symbol
_atom_site_fract_x
_atom_site_fract_y
_atom_site_fract_z
Re1 Re 0.000 0.000 0.000
Ag1 Ag 0.000 0.500 0.500
Pt1 Pt 0.500 0.500 0.500
```

Peak list (6 most intense, 2θ from 5° to 70°, low angle first)
25.0°, I = 66, (1 1 0); 30.7°, I = 43, (1 1 1); 35.6°, I = 100, (2 0 0); 44.0°, I = 31, (2 1 1); 51.2°, I = 70, (2 2 0); 63.9°, I = 24, (2 2 2)

---

[8]
Calculated powder XRD pattern
Compound: AgPtRh2
Radiation: CuKα
Structure: DFT lattice parameters and positions (GGA-PBE)
No peak broadening, texture or thermal motion is included.

Structural model:
```
data_AgPtRh2
_symmetry_space_group_name_H-M 'C m m m'
_symmetry_Int_Tables_number 65
_symmetry_space_group_name_Hall '-C 2 2'
_cell_length_a 2.773
_cell_length_b 4.737
_cell_length_c 9.500
_cell_angle_alpha 90.00
_cell_angle_beta 90.00
_cell_angle_gamma 90.00
loop_
_atom_site_label
_atom_site_type_symbol
_atom_site_fract_x
_atom_site_fract_y
_atom_site_fract_z
Ag1 Ag 0.000 0.000 0.000
Pt1 Pt 0.000 0.000 0.500
Rh1 Rh 0.000 0.500 0.257
```

Peak list (6 most intense, 2θ from 5° to 70°, low angle first)
9.3°, I = 25, (0 0 1); 37.9°, I = 34, (0 0 4); 38.0°, I = 34, (0 2 0); 42.3°, I = 100, (1 1 2); 54.7°, I = 23, (0 2 4); 67.6°, I = 6, (2 0 0)